(1)
Starting from DFT lattice parameters and positions (GGA-PBE), the XRD peak list of In2Sb was calculated for CuKα.
Kinematic intensities with the Lorentz-polarization factor, no thermal factor.

Most intense lines, 2θ = 10–90°, low angle first:
| Position (°2θ) | I (rel.) |
| --- | --- |
| 32.4 | 100 |
| 32.9 | 21 |
| 39.8 | 30 |
| 52.5 | 22 |
| 57.6 | 10 |
| 58.4 | 12 |
| 67.7 | 23 |
| 67.9 | 10 |

Structure:
Unit cell a=16.6633 b=16.6633 c=16.6633 alpha=164.38 beta=164.38 gamma=22.16
Element x y z (fractional)
In 0.1227 0.3727 0.7500
In 0.2868 0.5368 0.7500
In 0.3727 0.1227 0.2500
In 0.4632 0.7132 0.7500
In 0.5368 0.2868 0.2500
In 0.6273 0.8773 0.7500
In 0.7132 0.4632 0.2500
In 0.8773 0.6273 0.2500
Sb 0.0497 0.7997 0.2500
Sb 0.2003 0.9503 0.2500
Sb 0.7997 0.0497 0.7500
Sb 0.9503 0.2003 0.7500

---

(2)
Starting from DFT lattice parameters and positions (GGA-PBE), the XRD peak list of In2Sb3 was calculated for CuKα.
Kinematic intensities with the Lorentz-polarization factor, no thermal factor.

Most intense lines, 2θ = 10–90°, low angle first:
| Position (°2θ) | I (rel.) |
| --- | --- |
| 28.7 | 100 |
| 41.1 | 74 |
| 50.9 | 26 |
| 59.5 | 12 |
| 67.4 | 32 |
| 74.8 | 23 |
| 88.3 | 1 |
| 89.1 | 7 |

Structure:
Unit cell a=9.3170 b=9.3170 c=9.3170 alpha=27.29 beta=27.29 gamma=27.29
Element x y z (fractional)
In 0.1053 0.1053 0.1053
In 0.8947 0.8947 0.8947
Sb 0.3033 0.3033 0.3033
Sb 0.5000 0.5000 0.5000
Sb 0.6967 0.6967 0.6967

---

(3)
Starting from DFT lattice parameters and positions (GGA-PBE), the XRD peak list of In2Sb was calculated for CuKα.
Kinematic intensities with the Lorentz-polarization factor, no thermal factor.

Most intense lines, 2θ = 10–90°, low angle first:
| Position (°2θ) | I (rel.) |
| --- | --- |
| 27.4 | 26 |
| 32.0 | 100 |
| 32.7 | 33 |
| 38.9 | 20 |
| 42.9 | 20 |
| 51.7 | 17 |
| 57.9 | 18 |
| 59.3 | 15 |

Structure:
Unit cell a=7.2338 b=7.2338 c=5.4742 alpha=90.00 beta=90.00 gamma=142.65
Element x y z (fractional)
In 0.0561 0.9439 0.7500
In 0.2668 0.7332 0.2500
In 0.7332 0.2668 0.7500
In 0.9439 0.0561 0.2500
Sb 0.3768 0.6232 0.7500
Sb 0.6232 0.3768 0.2500